1.
Tm4InBi2: calculated powder X-ray diffraction pattern (Cu Kα, 1.54184 Å), based on a cell relaxed with GGA-PBE.
Peak positions follow from Bragg's law for the DFT cell and can differ from measured ones.

Largest 12 diffraction maxima, sorted by position, 2θ = 5–70°:
d_spacing  two_theta  I_rel  index
3.421  26.05  100.0  0 4 0
3.005  29.73  96.4  3 1 1
2.582  34.74  66.0  1 1 5
2.553  35.16  31.2  3 3 1
2.419  37.17  51.3  0 4 4
2.258  39.93  28.5  3 3 3
2.055  44.06  25.6  2 0 6
2.046  44.27  32.1  3 5 1
1.874  48.58  21.3  4 2 4
1.650  55.69  24.2  3 5 5
1.502  61.74  23.8  6 2 2
1.426  65.45  20.9  1 3 9

Cell and atoms:
a = 9.4835 Å, b = 13.6738 Å, c = 13.6938 Å
α = 90.00°, β = 90.00°, γ = 90.00°
Space group Fddd (No. 70, origin choice 2)
Inequivalent atoms, fractional coordinates:
1 Tm 0.0673 0.2794 0.4703
2 In 0.1250 0.1250 0.6250
3 Bi 0.0000 0.0000 0.0000

2.
Y2InBi: calculated powder X-ray diffraction pattern (Cu Kα, 1.54184 Å), based on a cell relaxed with GGA-PBE.
Peak positions follow from Bragg's law for the DFT cell and can differ from measured ones.

Largest 12 diffraction maxima, sorted by position, 2θ = 5–70°:
d_spacing  two_theta  I_rel  index
8.105  10.92  11.7  0 0 3
4.052  21.93  4.8  0 0 6
3.498  25.47  10.0  0 1 2
3.130  28.51  100.0  1 0 4
2.336  38.54  44.1  0 1 8
2.108  42.89  33.1  1 1 0
2.026  44.74  12.1  0 0 12
1.749  52.31  18.4  0 2 4
1.565  59.02  12.6  2 0 8
1.461  63.70  20.5  1 1 12
1.403  66.66  8.3  1 0 16
1.346  69.88  15.4  2 1 4

Cell and atoms:
a = 4.2169 Å, b = 4.2169 Å, c = 24.3140 Å
α = 90.00°, β = 90.00°, γ = 120.00°
Space group R-3m (No. 166, hexagonal axes)
Inequivalent atoms, fractional coordinates:
1 Y 0.0000 0.0000 0.2457
2 In 0.0000 0.0000 0.0000
3 Bi 0.0000 0.0000 0.5000

3.
Zr5In2Bi2: calculated powder X-ray diffraction pattern (Cu Kα, 1.54184 Å), based on a cell relaxed with GGA-PBE.
Peak positions follow from Bragg's law for the DFT cell and can differ from measured ones.

Largest 12 diffraction maxima, sorted by position, 2θ = 5–70°:
d_spacing  two_theta  I_rel  index
7.301  12.12  42.1  2 0 0
3.647  24.40  24.0  4 0 0
3.148  28.35  56.3  2 2 1
2.826  31.66  100.0  3 1 2
2.751  32.55  26.9  0 2 2
2.522  35.60  79.7  4 2 1
2.434  36.93  85.5  6 0 0
2.419  37.17  55.8  1 1 3
2.235  40.36  27.9  5 1 2
1.886  48.25  33.8  5 3 1
1.878  48.47  23.5  5 1 3
1.377  68.07  23.2  7 3 3

Cell and atoms:
a = 14.6018 Å, b = 7.8145 Å, c = 7.7492 Å
α = 90.00°, β = 90.00°, γ = 90.00°
Space group Cmce (No. 64)
Inequivalent atoms, fractional coordinates:
1 Zr 0.0000 0.0000 0.0000
2 Zr 0.1392 0.1613 0.3363
3 In 0.2036 0.0000 0.0000
4 Bi 0.0000 0.1430 0.6423

4.
La4Bi2Ir: calculated powder X-ray diffraction pattern (Cu Kα, 1.54184 Å), based on a cell relaxed with GGA-PBE.
Peak positions follow from Bragg's law for the DFT cell and can differ from measured ones.

Largest 12 diffraction maxima, sorted by position, 2θ = 5–70°:
d_spacing  two_theta  I_rel  index
3.459  25.75  31.3  0 2 0
3.354  26.57  22.3  1 0 2
3.343  26.67  19.5  2 0 -2
3.074  29.05  40.4  1 2 0
3.015  29.63  100.0  2 1 0
2.793  32.05  62.9  1 2 -2
2.529  35.50  47.8  1 0 -4
2.407  37.36  27.3  2 2 0
2.126  42.51  19.5  3 1 0
1.901  47.86  20.7  1 3 2
1.730  52.93  20.2  0 4 0
1.428  65.37  20.7  1 4 -4

Cell and atoms:
a = 7.1557 Å, b = 6.9188 Å, c = 10.1156 Å
α = 90.00°, β = 110.48°, γ = 90.00°
Space group P2_1/m (No. 11)
Inequivalent atoms, fractional coordinates:
1 La 0.0235 0.0084 0.2599
2 La 0.3970 0.7500 0.0873
3 La 0.4286 0.7500 0.6155
4 Bi 0.2273 0.2500 0.0468
5 Bi 0.2266 0.2500 0.5685
6 Ir 0.3387 0.7500 0.3320

5.
Mg6Bi3Ir: calculated powder X-ray diffraction pattern (Cu Kα, 1.54184 Å), based on a cell relaxed with GGA-PBE.
Peak positions follow from Bragg's law for the DFT cell and can differ from measured ones.

Largest 12 diffraction maxima, sorted by position, 2θ = 5–70°:
d_spacing  two_theta  I_rel  index
4.358  20.38  13.0  2 1 0
4.209  21.11  58.0  1 0 1
3.956  22.48  42.4  1 1 1
3.650  24.39  69.2  2 2 0
2.892  30.92  32.7  0 4 0
2.844  31.46  26.5  1 3 1
2.381  37.79  100.0  3 2 1
2.353  38.25  27.1  0 0 2
1.978  45.88  26.8  2 2 2
1.825  49.97  23.0  0 4 2
1.551  59.61  16.5  3 6 1
1.364  68.84  17.8  3 2 3

Cell and atoms:
a = 9.4093 Å, b = 11.5703 Å, c = 4.7063 Å
α = 90.00°, β = 90.00°, γ = 90.00°
Space group Pnnm (No. 58)
Inequivalent atoms, fractional coordinates:
1 Mg 0.1005 0.0887 0.0000
2 Mg 0.1089 0.7833 0.5000
3 Mg 0.2071 0.4911 0.0000
4 Bi 0.0000 0.5000 0.5000
5 Bi 0.1961 0.2517 0.5000
6 Ir 0.0000 0.0000 0.5000

6.
BiIrN: calculated powder X-ray diffraction pattern (Cu Kα, 1.54184 Å), based on a cell relaxed with GGA-PBE.
Peak positions follow from Bragg's law for the DFT cell and can differ from measured ones.

Largest 12 diffraction maxima, sorted by position, 2θ = 5–70°:
d_spacing  two_theta  I_rel  index
5.832  15.19  85.7  0 0 2
3.723  23.90  53.6  1 0 1
2.791  32.07  29.5  1 1 2
2.763  32.40  100.0  1 0 3
2.703  33.14  64.8  0 2 0
2.452  36.64  24.0  0 2 2
2.187  41.27  30.3  1 2 1
2.149  42.05  57.5  1 1 4
2.142  42.19  31.1  0 1 5
1.964  46.22  27.4  2 0 0
1.932  47.03  67.6  1 2 3
1.589  58.05  26.9  2 2 0

Cell and atoms:
a = 3.9287 Å, b = 5.4058 Å, c = 11.6638 Å
α = 90.00°, β = 90.00°, γ = 90.00°
Space group Immm (No. 71)
Inequivalent atoms, fractional coordinates:
1 Bi 0.0000 0.0000 0.2011
2 Ir 0.0000 0.5000 0.1374
3 N 0.0000 0.1092 0.5000

7.
Nd3BiIr: calculated powder X-ray diffraction pattern (Cu Kα, 1.54184 Å), based on a cell relaxed with GGA-PBE.
Peak positions follow from Bragg's law for the DFT cell and can differ from measured ones.

Largest 12 diffraction maxima, sorted by position, 2θ = 5–70°:
d_spacing  two_theta  I_rel  index
7.094  12.48  35.1  1 0 -1
3.267  27.30  31.2  1 1 1
3.053  29.25  96.8  2 1 -1
2.927  30.55  33.5  1 0 -3
2.913  30.70  68.1  2 1 0
2.802  31.94  100.0  2 1 -2
2.558  35.07  74.9  1 1 2
2.519  35.64  54.2  3 0 0
2.465  36.45  75.2  1 1 -3
2.286  39.43  77.1  0 2 0
2.266  39.77  38.8  1 0 3
1.693  54.18  32.9  3 2 0

Cell and atoms:
a = 8.2316 Å, b = 4.5711 Å, c = 8.7882 Å
α = 90.00°, β = 113.34°, γ = 90.00°
Space group P2_1/m (No. 11)
Inequivalent atoms, fractional coordinates:
1 Nd 0.0428 0.2500 0.2466
2 Nd 0.3223 0.7500 0.5905
3 Nd 0.3321 0.2500 0.9246
4 Bi 0.3282 0.7500 0.2029
5 Ir 0.0795 0.2500 0.6015

8.
Nd3BiIr: calculated powder X-ray diffraction pattern (Cu Kα, 1.54184 Å), based on a cell relaxed with GGA-PBE.
Peak positions follow from Bragg's law for the DFT cell and can differ from measured ones.

Largest 12 diffraction maxima, sorted by position, 2θ = 5–70°:
d_spacing  two_theta  I_rel  index
3.800  23.41  25.2  1 1 1
3.121  28.60  44.6  1 0 5
2.970  30.09  22.2  2 1 1
2.863  31.25  32.1  1 1 4
2.840  31.50  100.0  2 1 2
2.682  33.40  21.4  0 1 5
2.658  33.72  32.8  2 1 3
2.551  35.18  46.9  1 1 5
2.313  38.94  19.5  3 1 1
2.249  40.10  21.2  2 1 5
2.213  40.77  49.0  0 2 0
1.472  63.17  24.3  2 1 10

Cell and atoms:
a = 8.2456 Å, b = 4.4262 Å, c = 16.8612 Å
α = 90.00°, β = 90.00°, γ = 90.00°
Space group Pnma (No. 62)
Inequivalent atoms, fractional coordinates:
1 Nd 0.0138 0.2500 0.0923
2 Nd 0.1414 0.7500 0.4514
3 Nd 0.1667 0.2500 0.7027
4 Bi 0.1322 0.2500 0.2987
5 Ir 0.2301 0.7500 0.0419

Repeat the eighth record exactly.
Nd3BiIr: calculated powder X-ray diffraction pattern (Cu Kα, 1.54184 Å), based on a cell relaxed with GGA-PBE.
Peak positions follow from Bragg's law for the DFT cell and can differ from measured ones.

Largest 12 diffraction maxima, sorted by position, 2θ = 5–70°:
d_spacing  two_theta  I_rel  index
3.800  23.41  25.2  1 1 1
3.121  28.60  44.6  1 0 5
2.970  30.09  22.2  2 1 1
2.863  31.25  32.1  1 1 4
2.840  31.50  100.0  2 1 2
2.682  33.40  21.4  0 1 5
2.658  33.72  32.8  2 1 3
2.551  35.18  46.9  1 1 5
2.313  38.94  19.5  3 1 1
2.249  40.10  21.2  2 1 5
2.213  40.77  49.0  0 2 0
1.472  63.17  24.3  2 1 10

Cell and atoms:
a = 8.2456 Å, b = 4.4262 Å, c = 16.8612 Å
α = 90.00°, β = 90.00°, γ = 90.00°
Space group Pnma (No. 62)
Inequivalent atoms, fractional coordinates:
1 Nd 0.0138 0.2500 0.0923
2 Nd 0.1414 0.7500 0.4514
3 Nd 0.1667 0.2500 0.7027
4 Bi 0.1322 0.2500 0.2987
5 Ir 0.2301 0.7500 0.0419